# K2AcSi2O6
Calculated XRD peak list, Cu Kα (weighted mean of Kα1 and Kα2). Input: a structure optimized by DFT (PBE).
Kinematic intensities with the Lorentz-polarization factor, no thermal factor.

Structure:
```
K2AcSi2O6
1.0
5.2550 -3.0309 0.0000
5.2550 3.0309 0.0000
-3.7641 0.0000 6.2127
K Ac Si O
2 1 2 6
Cartesian
1.5748 0.0000 0.9270
5.1711 0.0000 5.2858
-1.8820 0.0000 3.1064
1.7691 0.0000 4.9520
4.9768 0.0000 1.2608
4.1106 1.3678 1.3939
0.3204 0.0000 4.2373
2.6353 1.3678 4.8189
4.1106 -1.3678 1.3939
6.4254 0.0000 1.9755
2.6353 -1.3678 4.8189
```

Top 8 peaks for 2θ from 10° to 90°, low angle first:
2θ = 14.3°, I = 386; 2θ = 17.6°, I = 583; 2θ = 19.2°, I = 712; 2θ = 19.8°, I = 443; 2θ = 25.8°, I = 492; 2θ = 29.1°, I = 855; 2θ = 29.5°, I = 1000; 2θ = 39.0°, I = 327